For Na4Dy2Br9, a crystal structure in Alexandria, relaxed with PBE gives the simulated X-ray powder pattern in this record (Cu Kα (weighted mean of Kα1 and Kα2)).

Cell and atoms:
Unit cell a=7.489 b=7.489 c=19.671 alpha=90.01 beta=90.01 gamma=59.99
Fractional coordinates of all 30 atoms:
Na 0.166 0.166 0.018
Na 0.166 0.166 0.518
Na 0.166 0.167 0.825
Na 0.167 0.166 0.325
Na 0.833 0.834 0.675
Na 0.834 0.833 0.175
Na 0.834 0.834 0.482
Na 0.834 0.834 0.982
Dy 0.499 0.501 0.661
Dy 0.499 0.501 0.839
Dy 0.501 0.499 0.161
Dy 0.501 0.499 0.339
Br 0.163 0.525 0.587
Br 0.164 0.811 0.087
Br 0.188 0.476 0.913
Br 0.189 0.836 0.413
Br 0.190 0.499 0.250
Br 0.190 0.810 0.750
Br 0.475 0.837 0.913
Br 0.476 0.188 0.413
Br 0.499 0.190 0.750
Br 0.501 0.810 0.250
Br 0.524 0.812 0.587
Br 0.525 0.163 0.087
Br 0.810 0.190 0.250
Br 0.810 0.501 0.750
Br 0.811 0.164 0.587
Br 0.812 0.524 0.087
Br 0.836 0.189 0.913
Br 0.837 0.475 0.413

Main lines, sorted by position (10 to 80 degrees two-theta):
13.65°, I 58; 16.37°, I 25; 27.43°, I 100; 36.42°, I 65; 41.78°, I 47; 48.21°, I 19; 50.72°, I 21; 56.61°, I 17